[1]
Diffraction record for Rb2BiMoPO8. The powder XRD pattern is theoretical, not measured: it uses a structure optimized by DFT (GGA+U) and λ = 1.5418 Å (Cu Kα).
Neutral-atom scattering factors, no anomalous dispersion.

The 10 most intense peaks (2θ from 15° to 90°), by angle:
| 2θ/deg | Rel. int. |
| --- | --- |
| 19.15 | 44.0 |
| 22.69 | 55.5 |
| 25.75 | 88.6 |
| 25.91 | 88.2 |
| 26.26 | 100.0 |
| 29.94 | 40.9 |
| 30.27 | 58.0 |
| 31.12 | 49.9 |
| 43.65 | 50.8 |
| 50.83 | 33.3 |

Cell and atoms:
Cell: 12.6852 12.6852 12.6852 Å, 147.12 119.98 70.16°
Atoms (fractional coordinates):
Rb1 0.0747 0.6923 0.4522
Rb2 0.2401 0.1923 0.1175
Rb3 0.2599 0.3775 0.9522
Rb4 0.4253 0.8775 0.6175
Rb5 0.5747 0.1225 0.3825
Rb6 0.7401 0.6225 0.0478
Rb7 0.7599 0.8077 0.8825
Rb8 0.9253 0.3077 0.5478
Bi1 0.1671 0.7500 0.9171
Bi2 0.3329 0.2500 0.5829
Bi3 0.6671 0.7500 0.4171
Bi4 0.8329 0.2500 0.0829
Mo1 0.0867 0.8367 0.2500
Mo2 0.4133 0.6633 0.7500
Mo3 0.5867 0.3367 0.2500
Mo4 0.9133 0.1633 0.7500
P1 0.0728 0.2500 0.3228
P2 0.4272 0.7500 0.1772
P3 0.5728 0.2500 0.8228
P4 0.9272 0.7500 0.6772
O1 0.0583 0.3353 0.2755
O2 0.0598 0.8353 0.7770
O3 0.0724 0.1499 0.7976
O4 0.1019 0.6844 0.0149
O5 0.1396 0.4082 0.5680
O6 0.1477 0.7252 0.2976
O7 0.1598 0.0918 0.2314
O8 0.1695 0.0870 0.4851
O9 0.3305 0.8156 0.9175
O10 0.3402 0.5716 0.9320
O11 0.3523 0.6499 0.5775
O12 0.3604 0.9284 0.2686
O13 0.3981 0.4130 0.5825
O14 0.4276 0.2252 0.0775
O15 0.4402 0.2172 0.7755
O16 0.4417 0.7172 0.2770
O17 0.5583 0.2828 0.7230
O18 0.5598 0.7828 0.2245
O19 0.5724 0.7748 0.9225
O20 0.6019 0.5870 0.4175
O21 0.6396 0.0716 0.7314
O22 0.6477 0.3501 0.4225
O23 0.6598 0.4284 0.0680
O24 0.6695 0.1844 0.0825
O25 0.8305 0.9130 0.5149
O26 0.8402 0.9082 0.7686
O27 0.8523 0.2748 0.7024
O28 0.8604 0.5918 0.4320
O29 0.8981 0.3156 0.9851
O30 0.9276 0.8501 0.2024
O31 0.9402 0.1647 0.2230
O32 0.9417 0.6647 0.7245



[2]
Diffraction record for Bi2Mo2Se2O13. The powder XRD pattern is theoretical, not measured: it uses a structure optimized by DFT (GGA+U) and λ = 1.5418 Å (Cu Kα).
Neutral-atom scattering factors, no anomalous dispersion.

The 10 most intense peaks (2θ from 15° to 90°), by angle:
| 2θ/deg | Rel. int. |
| --- | --- |
| 18.64 | 24.8 |
| 26.01 | 100.0 |
| 26.85 | 37.3 |
| 27.95 | 43.9 |
| 28.27 | 76.9 |
| 28.88 | 36.9 |
| 29.32 | 58.0 |
| 29.48 | 41.1 |
| 30.42 | 54.4 |
| 31.14 | 24.9 |

Cell and atoms:
Cell: 6.7135 7.0688 11.8481 Å, 89.47 82.39 86.71°
Atoms (fractional coordinates):
Bi1 0.1326 0.0988 0.1484
Bi2 0.3074 0.6254 0.6122
Bi3 0.6926 0.3746 0.3878
Bi4 0.8674 0.9012 0.8516
Mo1 0.2496 0.6137 0.3116
Mo2 0.3773 0.1397 0.8004
Mo3 0.6227 0.8603 0.1996
Mo4 0.7504 0.3863 0.6884
Se1 0.2623 0.0833 0.4398
Se2 0.3197 0.7119 0.9339
Se3 0.6803 0.2881 0.0661
Se4 0.7377 0.9167 0.5602
O1 0.0105 0.4003 0.6493
O2 0.1003 0.1553 0.3440
O3 0.1269 0.8468 0.0091
O4 0.1417 0.0521 0.7762
O5 0.1946 0.6630 0.8211
O6 0.2367 0.8361 0.4501
O7 0.3027 0.4485 0.2000
O8 0.3049 0.8406 0.2163
O9 0.3140 0.2627 0.9279
O10 0.3487 0.4636 0.4352
O11 0.4161 0.3333 0.6940
O12 0.4789 0.8973 0.8782
O13 0.4972 0.9153 0.6395
O14 0.5028 0.0847 0.3605
O15 0.5211 0.1027 0.1218
O16 0.5839 0.6667 0.3060
O17 0.6513 0.5364 0.5648
O18 0.6860 0.7373 0.0721
O19 0.6951 0.1594 0.7837
O20 0.6973 0.5515 0.8000
O21 0.7633 0.1639 0.5499
O22 0.8054 0.3370 0.1789
O23 0.8583 0.9479 0.2238
O24 0.8731 0.1532 0.9909
O25 0.8997 0.8447 0.6560
O26 0.9895 0.5997 0.3507